# ZnSiNi
Simulated XRD peak list, CuKα. Input: a structure optimized by DFT (PBE).

a = 3.980 Å, b = 3.980 Å, c = 2.874 Å
α = 90.00°, β = 90.00°, γ = 120.00°
Positions (direct):
Zn 0.000 0.000 0.000
Si 0.333 0.667 0.500
Ni 0.667 0.333 0.500

Most intense lines, 2θ from 15° to 90°, in order of rising 2θ:
- 2θ 25.8, intensity 18, (1 0 0)
- 2θ 40.9, intensity 100, (1 0 1)
- 2θ 45.6, intensity 65, (1 1 0)
- 2θ 53.1, intensity 2, (2 0 0)
- 2θ 62.9, intensity 26, (2 0 1)
- 2θ 64.9, intensity 7, (0 0 2)
- 2θ 71.1, intensity 2, (1 0 2)
- 2θ 81.0, intensity 24, (2 1 1)
- 2θ 82.9, intensity 21, (1 1 2)
- 2θ 84.3, intensity 10, (3 0 0)